Diffraction record for KCu2P. The powder X-ray diffraction pattern is theoretical, not measured: it uses a GGA-PBE-relaxed structure and Cu Kα, 1.54184 Å.
No peak broadening, texture or thermal motion is included.

Atomic structure:
a b c (Å): 8.5172 6.0190 8.1744
angles (deg): 90.00 90.00 90.00
Space group Pmma (No. 51)
One atom of each set of equivalent atoms:
K1 0.2500 0.0000 0.1179 x2
K2 0.2500 0.5000 0.3812 x2
Cu1 0.0000 0.0000 0.5000 x2
Cu2 0.0000 0.5000 0.0000 x2
Cu3 0.2500 0.2502 0.7496 x4
P1 0.2500 0.0000 0.5500 x2
P2 0.2500 0.5000 0.9494 x2

Principal peaks in the range 10° ≤ 2θ ≤ 80°, low angle first:
(hkl)	2θ/deg	Rel. int.
1 0 1	15.02	83
0 1 1	18.30	100
2 1 1	27.89	73
1 1 2	28.40	51
2 0 2	30.31	73
1 2 1	33.42	82
0 2 2	37.10	95
4 0 0	42.45	50
4 2 2	57.63	51
2 2 4	58.76	46